U2Ga5Cu3: simulated X-ray powder pattern (a wavelength of 1.5418 Å), based on the GGA-PBE geometry in Alexandria.
Peak positions follow from Bragg's law for the DFT cell and can differ from measured ones.

Largest 12 diffraction maxima, in order of falling intensity, 2θ from 10° to 90°:
hkl 1 1 2, 35.35°, rel. 100
hkl 1 0 3, 33.76°, rel. 64
hkl 2 0 0, 44.07°, rel. 46
hkl 1 0 5, 48.94°, rel. 31
hkl 2 1 3, 56.64°, rel. 30
hkl 1 0 1, 23.26°, rel. 25
hkl 2 1 5, 67.96°, rel. 24
hkl 3 1 2, 75.37°, rel. 23
hkl 1 1 0, 30.77°, rel. 22
hkl 2 2 0, 64.09°, rel. 15
hkl 1 1 6, 62.20°, rel. 12
hkl 2 0 8, 88.85°, rel. 10

Structural model:
Unit cell a=4.1099 b=4.1099 c=10.4361 alpha=90.00 beta=90.00 gamma=90.00
Atoms (fractional coordinates):
1 U 0.0000 0.0000 0.0000
2 U 0.5000 0.5000 0.4916
3 Ga 0.0000 0.0000 0.5944
4 Ga 0.0000 0.5000 0.2412
5 Ga 0.0000 0.5000 0.7509
6 Ga 0.5000 0.0000 0.2412
7 Ga 0.5000 0.0000 0.7509
8 Cu 0.0000 0.0000 0.3704
9 Cu 0.5000 0.5000 0.1062
10 Cu 0.5000 0.5000 0.8798